This entry pairs a crystal structure of Al2NiN3 with its computed X-ray powder pattern. Radiation: a wavelength of 1.5418 Å. Structure: a cell relaxed with GGA-PBE.

Atomic structure:
Unit cell a=5.4444 b=5.4444 c=4.9715 alpha=90.00 beta=90.00 gamma=60.54
Sites, in units of the cell vectors:
Al  0.0069  0.3313  0.0000
Al  0.3313  0.0069  0.5000
Al  0.6687  0.9931  0.0000
Al  0.9931  0.6687  0.5000
Ni  0.3537  0.6463  0.9976
Ni  0.6463  0.3537  0.4976
N  0.0075  0.3328  0.6205
N  0.3207  0.6793  0.6270
N  0.3328  0.0075  0.1205
N  0.6672  0.9925  0.6205
N  0.6793  0.3207  0.1270
N  0.9925  0.6672  0.1205

Peak list (10 most intense, 2θ = 5–70°, low angle first)
two_theta	I (rel.)
18.72	29.4
18.87	29.6
25.97	37.7
32.90	95.6
36.13	75.4
37.43	69.5
37.67	100.0
49.67	36.1
58.40	47.2
66.00	41.6

***

This entry pairs a crystal structure of CaB3H3O7 with its computed X-ray powder pattern. Radiation: a wavelength of 1.5418 Å. Structure: a cell relaxed with GGA-PBE.

Atomic structure:
Unit cell a=7.2977 b=8.1965 c=8.4757 alpha=90.00 beta=97.99 gamma=90.00
Sites, in units of the cell vectors:
Ca  0.0741  0.2063  0.3880
Ca  0.0741  0.2937  0.8880
Ca  0.9259  0.7063  0.1120
Ca  0.9259  0.7937  0.6120
B  0.2202  0.6463  0.8856
B  0.2202  0.8537  0.3856
B  0.3120  0.0391  0.1672
B  0.3120  0.4609  0.6672
B  0.4865  0.1917  0.7178
B  0.4865  0.3083  0.2178
B  0.5135  0.6917  0.7822
B  0.5135  0.8083  0.2822
B  0.6880  0.5391  0.3328
B  0.6880  0.9609  0.8328
B  0.7798  0.1463  0.6144
B  0.7798  0.3537  0.1144
H  0.1337  0.6165  0.4193
H  0.1337  0.8835  0.9193
H  0.3126  0.5428  0.1112
H  0.3126  0.9572  0.6112
H  0.3520  0.0504  0.9333
H  0.3520  0.4496  0.4333
H  0.6480  0.5504  0.5667
H  0.6480  0.9496  0.0667
H  0.6874  0.0428  0.3888
H  0.6874  0.4572  0.8888
H  0.8663  0.1165  0.0807
H  0.8663  0.3835  0.5807
O  0.0763  0.7236  0.3803
O  0.0763  0.7764  0.8803
O  0.1689  0.5425  0.7454
O  0.1689  0.9575  0.2454
O  0.2006  0.5447  0.0339
O  0.2006  0.9553  0.5339
O  0.2442  0.0553  0.9948
O  0.2442  0.4447  0.4948
O  0.3420  0.2062  0.2398
O  0.3420  0.2938  0.7398
O  0.4009  0.7210  0.8945
O  0.4009  0.7790  0.3945
O  0.4907  0.5517  0.6901
O  0.4907  0.9483  0.1901
O  0.5093  0.0517  0.8099
O  0.5093  0.4483  0.3099
O  0.5991  0.2210  0.6055
O  0.5991  0.2790  0.1055
O  0.6580  0.7062  0.2602
O  0.6580  0.7938  0.7602
O  0.7558  0.5553  0.5052
O  0.7558  0.9447  0.0052
O  0.7994  0.0447  0.4661
O  0.7994  0.4553  0.9661
O  0.8311  0.0425  0.7546
O  0.8311  0.4575  0.2546
O  0.9237  0.2236  0.1197
O  0.9237  0.2764  0.6197

Peak list (10 most intense, 2θ = 5–70°, low angle first)
two_theta	I (rel.)
20.41	100.0
25.99	53.3
27.85	47.8
28.22	43.9
30.31	41.8
33.05	50.1
34.10	36.6
41.48	31.2
43.61	48.3
46.41	32.0

***

This entry pairs a crystal structure of Zr5ZnPb3 with its computed X-ray powder pattern. Radiation: a wavelength of 1.5418 Å. Structure: a cell relaxed with GGA-PBE.

Atomic structure:
Unit cell a=8.8373 b=8.8373 c=5.9564 alpha=90.00 beta=90.00 gamma=120.00
Sites, in units of the cell vectors:
Zr  0.0000  0.2666  0.2500
Zr  0.0000  0.7334  0.7500
Zr  0.2666  0.0000  0.2500
Zr  0.2666  0.2666  0.7500
Zr  0.3333  0.6667  0.0000
Zr  0.3333  0.6667  0.5000
Zr  0.6667  0.3333  0.0000
Zr  0.6667  0.3333  0.5000
Zr  0.7334  0.0000  0.7500
Zr  0.7334  0.7334  0.2500
Zn  0.0000  0.0000  0.0000
Zn  0.0000  0.0000  0.5000
Pb  0.0000  0.3841  0.7500
Pb  0.0000  0.6159  0.2500
Pb  0.3841  0.0000  0.7500
Pb  0.3841  0.3841  0.2500
Pb  0.6159  0.0000  0.2500
Pb  0.6159  0.6159  0.7500

Peak list (10 most intense, 2θ = 5–70°, low angle first)
two_theta	I (rel.)
25.09	42.9
30.00	26.3
34.47	85.9
35.18	93.4
36.38	100.0
45.36	37.9
51.50	22.2
56.19	21.2
63.91	14.5
66.53	22.2

***

This entry pairs a crystal structure of AsS4N3 with its computed X-ray powder pattern. Radiation: a wavelength of 1.5418 Å. Structure: a cell relaxed with GGA-PBE.

Atomic structure:
Unit cell a=7.5837 b=8.4631 c=16.6401 alpha=90.00 beta=90.00 gamma=90.00
Sites, in units of the cell vectors:
As  0.0949  0.2500  0.0754
As  0.4051  0.7500  0.5754
As  0.5949  0.2500  0.4246
As  0.9051  0.7500  0.9246
S  0.1138  0.7500  0.7166
S  0.1225  0.2500  0.5672
S  0.1316  0.0494  0.4992
S  0.1316  0.4506  0.4992
S  0.3684  0.5494  0.9992
S  0.3684  0.9506  0.9992
S  0.3775  0.7500  0.0672
S  0.3862  0.2500  0.2166
S  0.6138  0.7500  0.7834
S  0.6225  0.2500  0.9328
S  0.6316  0.0494  0.0008
S  0.6316  0.4506  0.0008
S  0.8684  0.5494  0.5008
S  0.8684  0.9506  0.5008
S  0.8775  0.7500  0.4328
S  0.8862  0.2500  0.2834
N  0.0089  0.6841  0.2097
N  0.0089  0.8159  0.2097
N  0.2441  0.2500  0.1499
N  0.2559  0.7500  0.6499
N  0.4911  0.1841  0.7097
N  0.4911  0.3159  0.7097
N  0.5089  0.6841  0.2903
N  0.5089  0.8159  0.2903
N  0.7441  0.2500  0.3501
N  0.7559  0.7500  0.8501
N  0.9911  0.1841  0.7903
N  0.9911  0.3159  0.7903

Peak list (10 most intense, 2θ = 5–70°, low angle first)
two_theta	I (rel.)
10.63	76.5
11.73	35.2
15.81	68.5
18.99	31.2
20.99	45.1
24.68	39.5
25.75	28.9
26.39	40.8
26.61	100.0
27.92	77.3